(1)
Theoretical powder diffractogram of Ca3SbO4 for Cu Kα, from a crystal structure in Alexandria, relaxed with PBE.
Neutral-atom scattering factors, no anomalous dispersion.

Largest 10 diffraction maxima, in order of rising 2θ, 10 to 90 degrees two-theta:
Position (°2θ), I_rel
16.77, 460
21.06, 476
22.42, 265
24.88, 332
26.22, 676
30.99, 1000
33.87, 459
36.83, 503
43.00, 317
57.88, 257

Cell and atoms:
```
data_Ca3SbO4
_cell_length_a 8.414
_cell_length_b 6.797
_cell_length_c 4.881
_cell_angle_alpha 90.00
_cell_angle_beta 90.00
_cell_angle_gamma 90.00
_symmetry_space_group_name_H-M 'P m n 21'
_symmetry_Int_Tables_number 31
_symmetry_space_group_name_Hall 'P 2ac -2'
loop_
_atom_site_label
_atom_site_type_symbol
_atom_site_fract_x
_atom_site_fract_y
_atom_site_fract_z
_atom_site_occupancy
Ca1 Ca 0.000 0.145 0.000 1
Ca2 Ca 0.236 0.331 0.502 1
Sb1 Sb 0.000 0.750 0.504 1
O1 O 0.000 0.178 0.499 1
O2 O 0.000 0.803 0.096 1
O3 O 0.234 0.323 0.994 1
```

---

(2)
Theoretical powder diffractogram of CaSb2O5 for Cu Kα, from a crystal structure in Alexandria, relaxed with PBE.
Neutral-atom scattering factors, no anomalous dispersion.

Largest 10 diffraction maxima, in order of rising 2θ, 10 to 90 degrees two-theta:
Position (°2θ), I_rel
17.10, 1000
23.98, 457
25.95, 704
28.87, 297
29.61, 599
30.32, 535
31.24, 579
47.17, 231
50.04, 295
55.46, 263

Cell and atoms:
```
data_CaSb2O5
_cell_length_a 3.854
_cell_length_b 13.735
_cell_length_c 5.184
_cell_angle_alpha 90.00
_cell_angle_beta 90.00
_cell_angle_gamma 90.00
_symmetry_space_group_name_H-M 'P m m n'
_symmetry_Int_Tables_number 59
loop_
_symmetry_equiv_pos_as_xyz
'x,y,z'
'-x,-y,-z'
'-x+1/2,-y+1/2,z'
'x+1/2,y+1/2,-z'
'x+1/2,-y,-z'
'-x+1/2,y,z'
'-x,y+1/2,-z'
'x,-y+1/2,z'
loop_
_atom_site_label
_atom_site_type_symbol
_atom_site_fract_x
_atom_site_fract_y
_atom_site_fract_z
_atom_site_occupancy
Ca1 Ca 0.250 0.250 0.092 1
Sb1 Sb 0.250 0.613 0.429 1
O1 O 0.250 0.089 0.450 1
O2 O 0.250 0.649 0.073 1
O3 O 0.250 0.750 0.588 1
```

---

(3)
Theoretical powder diffractogram of CaSb4O9 for Cu Kα, from a crystal structure in Alexandria, relaxed with PBE.
Neutral-atom scattering factors, no anomalous dispersion.

Largest 10 diffraction maxima, in order of rising 2θ, 10 to 90 degrees two-theta:
Position (°2θ), I_rel
13.15, 324
15.43, 611
16.19, 547
17.01, 1000
19.64, 640
22.75, 468
26.75, 465
27.47, 639
30.74, 313
34.14, 655

Cell and atoms:
```
data_CaSb4O9
_cell_length_a 5.872
_cell_length_b 8.629
_cell_length_c 10.607
_cell_angle_alpha 90.75
_cell_angle_beta 100.51
_cell_angle_gamma 95.83
_symmetry_space_group_name_H-M 'P -1'
_symmetry_Int_Tables_number 2
_symmetry_space_group_name_Hall '-P 1'
loop_
_atom_site_label
_atom_site_type_symbol
_atom_site_fract_x
_atom_site_fract_y
_atom_site_fract_z
_atom_site_occupancy
Ca1 Ca 0.186 0.226 0.212 1
Sb1 Sb 0.223 0.388 0.525 1
Sb2 Sb 0.304 0.797 0.529 1
Sb3 Sb 0.363 0.026 0.846 1
Sb4 Sb 0.387 0.649 0.015 1
O1 O 0.014 0.751 0.608 1
O2 O 0.041 0.011 0.827 1
O3 O 0.089 0.666 0.928 1
O4 O 0.148 0.582 0.431 1
O5 O 0.403 0.436 0.089 1
O6 O 0.450 0.343 0.396 1
O7 O 0.455 0.131 0.038 1
O8 O 0.471 0.926 0.708 1
O9 O 0.497 0.759 0.182 1
```